(1)
LiMnP2O7: calculated powder diffraction line list (copper Kα), based on a crystal structure in Alexandria, relaxed with PBE+U.
No peak broadening, texture or thermal motion is included.

Most intense lines, 2θ = 10–80°, in order of rising 2θ:
d [Å]  2θ (°)  I/Imax
5.693  15.57  62
5.342  16.59  53
5.222  16.98  54
4.058  21.90  16
3.916  22.71  100
3.060  29.18  48
2.925  30.56  27
2.898  30.85  25
2.807  31.88  36
1.733  52.84  14

Crystal structure
Cell lengths 5.9879, 6.2398, 8.3013 Å; angles 97.30, 104.07, 110.28 degrees
Positions (direct):
1 Li 0.0000 0.0000 0.0000
2 Li 0.0000 0.0000 0.5000
3 Mn 0.3590 0.6844 0.2266
4 Mn 0.6410 0.3156 0.7734
5 P 0.1876 0.4533 0.7825
6 P 0.4178 0.2214 0.3120
7 P 0.5822 0.7786 0.6880
8 P 0.8124 0.5467 0.2175
9 O 0.0917 0.6744 0.3214
10 O 0.2378 0.6032 0.9530
11 O 0.2616 0.3402 0.2081
12 O 0.2931 0.6159 0.6572
13 O 0.2961 0.2598 0.7820
14 O 0.3562 0.9894 0.1853
15 O 0.3773 0.1945 0.4822
16 O 0.6227 0.8055 0.5178
17 O 0.6438 0.0106 0.8147
18 O 0.7039 0.7402 0.2180
19 O 0.7069 0.3841 0.3428
20 O 0.7384 0.6598 0.7919
21 O 0.7622 0.3968 0.0470
22 O 0.9083 0.3256 0.6786


(2)
LiMnP2O7: calculated powder diffraction line list (copper Kα), based on a crystal structure in Alexandria, relaxed with PBE+U.
No peak broadening, texture or thermal motion is included.

Most intense lines, 2θ = 10–80°, in order of rising 2θ:
d [Å]  2θ (°)  I/Imax
6.529  13.56  32
5.258  16.86  100
4.957  17.89  57
4.016  22.14  41
3.849  23.11  42
3.485  25.56  61
3.109  28.71  43
3.048  29.30  86
2.963  30.17  51
2.391  37.62  35

Crystal structure
Cell lengths 4.9761, 6.7439, 8.2022 Å; angles 92.47, 93.62, 104.09 degrees
Positions (direct):
1 Li 0.0000 0.0000 0.0000
2 Li 0.3672 0.5654 0.4930
3 Mn 0.4378 0.5343 0.0644
4 Mn 0.9403 0.0429 0.5646
5 P 0.0735 0.7890 0.2608
6 P 0.3952 0.8774 0.7931
7 P 0.4766 0.1926 0.3317
8 P 0.8051 0.2882 0.8657
9 O 0.0473 0.3085 0.9923
10 O 0.1425 0.9703 0.7599
11 O 0.2581 0.0134 0.2162
12 O 0.2633 0.6388 0.2562
13 O 0.3066 0.7157 0.9172
14 O 0.3209 0.2560 0.4710
15 O 0.5264 0.8155 0.6436
16 O 0.5745 0.3619 0.2150
17 O 0.6152 0.4330 0.8817
18 O 0.6284 0.0545 0.9002
19 O 0.7191 0.0992 0.3789
20 O 0.8393 0.7576 0.1283
21 O 0.8786 0.2785 0.6859
22 O 0.9980 0.8037 0.4394


(3)
Li2Mn2P2O9: calculated powder diffraction line list (copper Kα), based on a crystal structure in Alexandria, relaxed with PBE+U.
No peak broadening, texture or thermal motion is included.

Most intense lines, 2θ = 10–80°, in order of rising 2θ:
d [Å]  2θ (°)  I/Imax
7.888  11.22  100
5.782  15.32  13
4.472  19.85  9
4.016  22.14  11
3.827  23.24  16
3.490  25.52  16
2.891  30.93  9
2.789  32.09  18
2.747  32.60  10
2.307  39.04  11

Crystal structure
Cell lengths 8.5001, 5.5812, 15.7759 Å; angles 90.00, 90.00, 90.00 degrees
Positions (direct):
1 Li 0.0857 0.2500 0.2168
2 Li 0.1845 0.2500 0.8557
3 Li 0.3155 0.7500 0.3557
4 Li 0.4143 0.7500 0.7168
5 Li 0.5857 0.2500 0.2832
6 Li 0.6845 0.2500 0.6443
7 Li 0.8155 0.7500 0.1443
8 Li 0.9143 0.7500 0.7832
9 Mn 0.0000 0.0000 0.5000
10 Mn 0.0000 0.5000 0.5000
11 Mn 0.1981 0.2500 0.0514
12 Mn 0.3019 0.7500 0.5514
13 Mn 0.5000 0.0000 0.0000
14 Mn 0.5000 0.5000 0.0000
15 Mn 0.6981 0.2500 0.4486
16 Mn 0.8019 0.7500 0.9486
17 P 0.1651 0.7500 0.9204
18 P 0.2154 0.2500 0.6550
19 P 0.2846 0.7500 0.1550
20 P 0.3349 0.2500 0.4204
21 P 0.6651 0.7500 0.5796
22 P 0.7154 0.2500 0.8450
23 P 0.7846 0.7500 0.3450
24 P 0.8349 0.2500 0.0796
25 O 0.0155 0.7500 0.9773
26 O 0.0766 0.2500 0.5836
27 O 0.0786 0.7500 0.5669
28 O 0.1315 0.7500 0.8263
29 O 0.1404 0.2500 0.7411
30 O 0.1837 0.5199 0.1391
31 O 0.1837 0.9801 0.1391
32 O 0.2403 0.0147 0.4454
33 O 0.2403 0.4853 0.4454
34 O 0.2597 0.5147 0.9454
35 O 0.2597 0.9853 0.9454
36 O 0.3163 0.0199 0.6391
37 O 0.3163 0.4801 0.6391
38 O 0.3596 0.7500 0.2411
39 O 0.3685 0.2500 0.3263
40 O 0.4214 0.2500 0.0669
41 O 0.4234 0.7500 0.0836
42 O 0.4845 0.2500 0.4773
43 O 0.5155 0.7500 0.5227
44 O 0.5766 0.2500 0.9164
45 O 0.5786 0.7500 0.9331
46 O 0.6315 0.7500 0.6737
47 O 0.6404 0.2500 0.7589
48 O 0.6837 0.5199 0.3609
49 O 0.6837 0.9801 0.3609
50 O 0.7403 0.0147 0.0546
51 O 0.7403 0.4853 0.0546
52 O 0.7597 0.5147 0.5546
53 O 0.7597 0.9853 0.5546
54 O 0.8163 0.0199 0.8609
55 O 0.8163 0.4801 0.8609
56 O 0.8596 0.7500 0.2589
57 O 0.8685 0.2500 0.1737
58 O 0.9214 0.2500 0.4331
59 O 0.9234 0.7500 0.4164
60 O 0.9845 0.2500 0.0227


(4)
Li4Mn5SnP6O24: calculated powder diffraction line list (copper Kα), based on a crystal structure in Alexandria, relaxed with PBE+U.
No peak broadening, texture or thermal motion is included.

Most intense lines, 2θ = 10–80°, in order of rising 2θ:
d [Å]  2θ (°)  I/Imax
4.385  20.25  100
3.838  23.18  39
3.750  23.72  34
3.619  24.60  45
2.910  30.73  34
2.880  31.05  39
2.791  32.07  32
2.777  32.23  30
2.545  35.27  30
2.510  35.77  37

Crystal structure
Cell lengths 8.4377, 8.6619, 8.7559 Å; angles 119.18, 90.37, 116.70 degrees
Positions (direct):
1 Li 0.0000 0.0000 0.0000
2 Li 0.0077 0.6747 0.3105
3 Li 0.0439 0.3743 0.6993
4 Li 0.5665 0.7567 0.2318
5 Mn 0.3149 0.8748 0.0992
6 Mn 0.3250 0.5466 0.4401
7 Mn 0.7289 0.7219 0.5705
8 Mn 0.7712 0.1944 0.2918
9 Mn 0.8132 0.5167 0.9169
10 Sn 0.2635 0.1473 0.7381
11 P 0.0323 0.6709 0.6372
12 P 0.0587 0.0727 0.3573
13 P 0.1125 0.4119 0.0576
14 P 0.5357 0.3243 0.1416
15 P 0.5553 0.6447 0.8465
16 P 0.5901 0.0493 0.5555
17 O 0.0322 0.8836 0.7227
18 O 0.0583 0.5700 0.0714
19 O 0.0874 0.9821 0.4701
20 O 0.1003 0.6621 0.7945
21 O 0.1168 0.2948 0.8509
22 O 0.1350 0.9981 0.1921
23 O 0.1423 0.6587 0.4976
24 O 0.1558 0.3094 0.4891
25 O 0.3042 0.5442 0.1941
26 O 0.3529 0.2124 0.9916
27 O 0.4389 0.0401 0.6572
28 O 0.4730 0.4082 0.7658
29 O 0.4833 0.7394 0.0065
30 O 0.5129 0.4434 0.3320
31 O 0.5172 0.6810 0.6986
32 O 0.5314 0.0257 0.3726
33 O 0.5572 0.1465 0.1216
34 O 0.6129 0.8635 0.5066
35 O 0.7068 0.4830 0.1252
36 O 0.7675 0.7330 0.9046
37 O 0.7758 0.2542 0.6804
38 O 0.8265 0.5016 0.5239
39 O 0.8506 0.9902 0.2913
40 O 0.9722 0.2525 0.0947


(5)
Li8TiMn3P6O24: calculated powder diffraction line list (copper Kα), based on a crystal structure in Alexandria, relaxed with PBE+U.
No peak broadening, texture or thermal motion is included.

Most intense lines, 2θ = 10–80°, in order of rising 2θ:
d [Å]  2θ (°)  I/Imax
6.275  14.11  52
4.605  19.27  47
3.759  23.67  100
3.137  28.45  31
2.890  30.94  75
2.474  36.31  25
2.359  38.14  19
1.880  48.43  22
1.801  50.69  21
1.497  62.00  17

Crystal structure
Cell lengths 9.2613, 9.2613, 9.2613 Å; angles 55.13, 55.13, 55.13 degrees
Positions (direct):
1 Li 0.0000 0.0000 0.0000
2 Li 0.0972 0.3689 0.7315
3 Li 0.2238 0.8700 0.5930
4 Li 0.3689 0.7315 0.0972
5 Li 0.4918 0.4918 0.4918
6 Li 0.5930 0.2238 0.8700
7 Li 0.7315 0.0972 0.3689
8 Li 0.8700 0.5930 0.2238
9 Ti 0.2974 0.2974 0.2974
10 Mn 0.1129 0.1129 0.1129
11 Mn 0.6069 0.6069 0.6069
12 Mn 0.7976 0.7976 0.7976
13 P 0.0024 0.6900 0.3939
14 P 0.2024 0.4928 0.8960
15 P 0.3939 0.0024 0.6900
16 P 0.4928 0.8960 0.2024
17 P 0.6900 0.3939 0.0024
18 P 0.8960 0.2024 0.4928
19 O 0.0465 0.2876 0.4114
20 O 0.2038 0.5611 0.2906
21 O 0.2205 0.3238 0.8833
22 O 0.2624 0.9776 0.8997
23 O 0.2876 0.4114 0.0465
24 O 0.2906 0.2038 0.5611
25 O 0.3244 0.5937 0.6977
26 O 0.3238 0.8833 0.2205
27 O 0.4056 0.8543 0.6526
28 O 0.4114 0.0465 0.2876
29 O 0.5611 0.2906 0.2038
30 O 0.5893 0.9893 0.6428
31 O 0.5937 0.6977 0.3244
32 O 0.6284 0.9577 0.9964
33 O 0.6428 0.5893 0.9893
34 O 0.6526 0.4056 0.8543
35 O 0.6977 0.3244 0.5937
36 O 0.8543 0.6526 0.4056
37 O 0.8833 0.2205 0.3238
38 O 0.8997 0.2624 0.9776
39 O 0.9577 0.9964 0.6284
40 O 0.9776 0.8997 0.2624
41 O 0.9893 0.6428 0.5893
42 O 0.9964 0.6284 0.9577


(6)
Li9TiMn3P6O24: calculated powder diffraction line list (copper Kα), based on a crystal structure in Alexandria, relaxed with PBE+U.
No peak broadening, texture or thermal motion is included.

Most intense lines, 2θ = 10–80°, in order of rising 2θ:
d [Å]  2θ (°)  I/Imax
6.333  13.98  88
6.211  14.26  42
4.640  19.13  61
4.613  19.24  37
4.584  19.37  44
3.794  23.45  77
3.781  23.53  97
3.724  23.89  45
3.166  28.18  68
2.913  30.69  100

Crystal structure
Cell lengths 8.5516, 8.5984, 9.2207 Å; angles 91.08, 116.80, 119.31 degrees
Positions (direct):
1 Li 0.0000 0.0000 0.0000
2 Li 0.0052 0.1303 0.3904
3 Li 0.0788 0.5161 0.1526
4 Li 0.1842 0.5480 0.4570
5 Li 0.2056 0.7277 0.8800
6 Li 0.6092 0.2421 0.4058
7 Li 0.6276 0.4694 0.9103
8 Li 0.7763 0.0265 0.6753
9 Li 0.8278 0.8202 0.3793
10 Ti 0.3315 0.4584 0.9937
11 Mn 0.2950 0.9465 0.4712
12 Mn 0.6634 0.1233 0.0521
13 Mn 0.7329 0.6477 0.6109
14 P 0.1981 0.0592 0.7656
15 P 0.2563 0.2723 0.2934
16 P 0.5183 0.8527 0.2851
17 P 0.5311 0.7586 0.7990
18 P 0.8183 0.5367 0.2850
19 P 0.8320 0.3470 0.7955
20 O 0.0089 0.3142 0.8351
21 O 0.0361 0.6433 0.2966
22 O 0.1292 0.0595 0.2738
23 O 0.1324 0.0224 0.5733
24 O 0.1319 0.3503 0.3103
25 O 0.2580 0.2854 0.1257
26 O 0.3300 0.6646 0.1350
27 O 0.3317 0.2755 0.8483
28 O 0.3342 0.9831 0.8630
29 O 0.3825 0.6482 0.8671
30 O 0.3989 0.7761 0.6265
31 O 0.4312 0.9630 0.3107
32 O 0.4812 0.3726 0.4458
33 O 0.6191 0.6453 0.7778
34 O 0.6320 0.8116 0.4508
35 O 0.6355 0.1815 0.6339
36 O 0.6651 0.5717 0.1382
37 O 0.6939 0.9679 0.2431
38 O 0.7190 0.9576 0.9249
39 O 0.7335 0.3257 0.2566
40 O 0.7935 0.3474 0.9469
41 O 0.8568 0.6231 0.4547
42 O 0.9045 0.5433 0.7730
43 O 0.9968 0.9590 0.7774


(7)
Li8TiMn3P6O24: calculated powder diffraction line list (copper Kα), based on a crystal structure in Alexandria, relaxed with PBE+U.
No peak broadening, texture or thermal motion is included.

Most intense lines, 2θ = 10–80°, in order of rising 2θ:
d [Å]  2θ (°)  I/Imax
6.269  14.13  63
6.225  14.23  33
4.645  19.11  63
4.576  19.40  38
3.758  23.68  100
3.724  23.90  29
3.705  24.02  26
3.135  28.47  44
2.912  30.71  62
2.898  30.85  24

Crystal structure
Cell lengths 8.4546, 8.4948, 9.2363 Å; angles 63.48, 63.72, 60.50 degrees
Positions (direct):
1 Li 0.0000 0.0000 0.0000
2 Li 0.0616 0.0491 0.6709
3 Li 0.1556 0.8315 0.3898
4 Li 0.2703 0.3424 0.9428
5 Li 0.5873 0.1938 0.2329
6 Li 0.6635 0.6083 0.9393
7 Li 0.7281 0.5119 0.5147
8 Li 0.8684 0.5414 0.1789
9 Ti 0.5733 0.9343 0.1109
10 Mn 0.0835 0.4170 0.6470
11 Mn 0.2810 0.6179 0.0428
12 Mn 0.7695 0.1207 0.5211
13 P 0.1828 0.2181 0.3202
14 P 0.3878 0.0188 0.8253
15 P 0.4786 0.5378 0.3258
16 P 0.6882 0.3038 0.8504
17 P 0.8683 0.8040 0.3351
18 P 0.9801 0.7352 0.8280
19 O 0.0676 0.1063 0.3509
20 O 0.0682 0.7957 0.2098
21 O 0.0786 0.5265 0.8311
22 O 0.0841 0.7990 0.8819
23 O 0.1347 0.4073 0.1770
24 O 0.1580 0.2435 0.4838
25 O 0.1749 0.1270 0.8325
26 O 0.3013 0.5374 0.4749
27 O 0.4027 0.1013 0.2503
28 O 0.4192 0.0660 0.9608
29 O 0.4376 0.8044 0.8840
30 O 0.4513 0.7552 0.2408
31 O 0.4749 0.4234 0.8864
32 O 0.4994 0.4662 0.1878
33 O 0.5090 0.0973 0.6544
34 O 0.6691 0.4342 0.3719
35 O 0.7219 0.1086 0.9995
36 O 0.7544 0.7761 0.2556
37 O 0.7638 0.0037 0.3568
38 O 0.7722 0.2546 0.6824
39 O 0.7766 0.7518 0.9652
40 O 0.8027 0.4015 0.8464
41 O 0.8787 0.6412 0.5001
42 O 0.9616 0.8672 0.6514


(8)
Li2MnVP2O8: calculated powder diffraction line list (copper Kα), based on a crystal structure in Alexandria, relaxed with PBE+U.
No peak broadening, texture or thermal motion is included.

Most intense lines, 2θ = 10–80°, in order of rising 2θ:
d [Å]  2θ (°)  I/Imax
5.274  16.81  21
4.356  20.39  53
4.002  22.21  26
3.553  25.06  70
3.072  29.07  72
2.573  34.87  100
2.511  35.77  29
1.777  51.43  33
1.660  55.35  23
1.526  60.68  29

Crystal structure
Cell lengths 4.7826, 6.1442, 10.5490 Å; angles 90.00, 90.09, 90.00 degrees
Positions (direct):
1 Li 0.0000 0.0000 0.0000
2 Li 0.0000 0.5000 0.0000
3 Li 0.5000 0.0000 0.5000
4 Li 0.5000 0.5000 0.5000
5 Mn 0.0249 0.2500 0.7224
6 Mn 0.9751 0.7500 0.2776
7 V 0.4784 0.2500 0.2228
8 V 0.5216 0.7500 0.7772
9 P 0.0893 0.7500 0.5929
10 P 0.4106 0.7500 0.0896
11 P 0.5894 0.2500 0.9104
12 P 0.9107 0.2500 0.4071
13 O 0.2079 0.7500 0.4559
14 O 0.2248 0.5487 0.6621
15 O 0.2248 0.9513 0.6621
16 O 0.2321 0.2500 0.4027
17 O 0.2683 0.2500 0.9048
18 O 0.2765 0.5486 0.1588
19 O 0.2765 0.9514 0.1588
20 O 0.2893 0.7500 0.9527
21 O 0.7107 0.2500 0.0473
22 O 0.7235 0.0486 0.8412
23 O 0.7235 0.4514 0.8412
24 O 0.7317 0.7500 0.0952
25 O 0.7679 0.7500 0.5973
26 O 0.7752 0.0487 0.3379
27 O 0.7752 0.4513 0.3379
28 O 0.7921 0.2500 0.5441